[1]
The following is a theoretical XRD peak list of Tl3IrCl. It was derived from a DFT-relaxed cell (GGA-PBE, OQMD), using Cu Kα, 1.54184 Å.

Lattice parameters (Å, degrees): 7.5284 7.5284 5.3317 90.00 90.00 90.02
Fractional coordinates of all 10 atoms:
Tl1 0.0000 0.0000 0.0000
Tl2 0.0000 0.5000 0.0000
Tl3 0.2369 0.7631 0.5000
Tl4 0.5000 0.0000 0.0000
Tl5 0.5000 0.5000 0.0000
Tl6 0.7631 0.2369 0.5000
Ir1 0.2517 0.7482 0.0000
Ir2 0.7482 0.2517 0.0000
Cl1 0.2068 0.2068 0.5000
Cl2 0.7932 0.7932 0.5000

The 10 most intense peaks (15 to 90 degrees two-theta), most intense first:
d 5.326, 2θ = 16.64°, I = 100; d 2.663, 2θ = 33.65°, I = 98; d 1.883, 2θ = 48.33°, I = 70; d 2.382, 2θ = 37.77°, I = 57; d 3.075, 2θ = 29.04°, I = 56; d 1.775, 2θ = 51.47°, I = 31; d 1.538, 2θ = 60.19°, I = 24; d 1.606, 2θ = 57.38°, I = 23; d 1.192, 2θ = 80.63°, I = 16; d 1.190, 2θ = 80.72°, I = 15

---

[2]
The following is a theoretical XRD peak list of LuScIn4. It was derived from a DFT-relaxed cell (GGA-PBE, OQMD), using Cu Kα, 1.54184 Å.

Lattice parameters (Å, degrees): 4.5574 7.2957 7.2957 36.16 90.00 90.00
Fractional coordinates of all 6 atoms:
Lu1 0.0000 0.0000 0.0000
Sc1 0.0000 0.6875 0.6875
In1 0.0000 0.3402 0.3402
In2 0.5000 0.1683 0.1683
In3 0.5000 0.5201 0.5201
In4 0.5000 0.8407 0.8407

The 10 most intense peaks (15 to 90 degrees two-theta), most intense first:
d 2.638, 2θ = 33.98°, I = 100; d 2.279, 2θ = 39.55°, I = 17; d 2.264, 2θ = 39.82°, I = 16; d 2.312, 2θ = 38.96°, I = 16; d 1.375, 2θ = 68.20°, I = 13; d 1.369, 2θ = 68.57°, I = 12; d 1.623, 2θ = 56.73°, I = 12; d 1.319, 2θ = 71.54°, I = 12; d 1.390, 2θ = 67.39°, I = 11; d 1.606, 2θ = 57.37°, I = 11

---

[3]
The following is a theoretical XRD peak list of GdDy2In3CuNi2. It was derived from a DFT-relaxed cell (GGA-PBE, OQMD), using Cu Kα, 1.54184 Å.

Lattice parameters (Å, degrees): 3.8314 7.4475 7.4475 119.97 90.00 90.00
Fractional coordinates of all 9 atoms:
Gd1 0.0000 0.0000 0.0000
Dy1 0.0000 0.4127 0.8252
Dy2 0.0000 0.8252 0.4127
In1 0.5000 0.1549 0.4132
In2 0.5000 0.4132 0.1549
In3 0.5000 0.6700 0.6700
Cu1 0.0000 0.4130 0.4130
Ni1 0.5000 0.0796 0.7457
Ni2 0.5000 0.7457 0.0796

The 10 most intense peaks (15 to 90 degrees two-theta), most intense first:
d 2.671, 2θ = 33.56°, I = 100; d 2.467, 2θ = 36.41°, I = 76; d 2.438, 2θ = 36.87°, I = 52; d 1.380, 2θ = 67.90°, I = 25; d 2.150, 2θ = 42.02°, I = 24; d 1.621, 2θ = 56.79°, I = 23; d 1.506, 2θ = 61.57°, I = 23; d 1.916, 2θ = 47.46°, I = 20; d 1.789, 2θ = 51.05°, I = 15; d 1.430, 2θ = 65.23°, I = 12